For NaMnBeTe3, a DFT-relaxed cell (GGA-PBE, Alexandria) gives the simulated XRD peak list in this record (Cu Kα, 1.54184 Å).

Peak list (10 most intense, 15 to 90 degrees two-theta, in order of falling intensity)
2θ/deg	d [Å]	Rel. int.	(hkl)
27.81	3.208	100	2 0 1
24.20	3.678	70	0 0 3
32.62	2.745	66	2 1 -1
31.13	2.873	47	1 0 -4
33.39	2.684	44	2 1 0
24.93	3.572	39	2 0 -2
28.45	3.138	34	1 1 -2
47.87	1.900	32	4 0 -1
38.03	2.366	28	1 1 3
41.65	2.169	27	2 1 -4

Cell: 7.6673 3.9363 11.5362 Å, 90.00 106.95 90.00°
Fractional positions:
1 Na 0.2044 0.2500 0.1838
2 Na 0.7956 0.7500 0.8162
3 Mn 0.1574 0.7500 0.6298
4 Mn 0.8426 0.2500 0.3702
5 Be 0.4118 0.2500 0.9088
6 Be 0.5882 0.7500 0.0912
7 Te 0.0902 0.7500 0.3761
8 Te 0.2578 0.7500 0.9637
9 Te 0.4096 0.2500 0.6955
10 Te 0.5904 0.7500 0.3045
11 Te 0.7422 0.2500 0.0363
12 Te 0.9098 0.2500 0.6239

---

For Mn4BeNb, a DFT-relaxed cell (GGA-PBE, Alexandria) gives the simulated XRD peak list in this record (Cu Kα, 1.54184 Å).

Peak list (10 most intense, 15 to 90 degrees two-theta, in order of falling intensity)
2θ/deg	d [Å]	Rel. int.	(hkl)
41.33	2.184	100	2 1 1
43.32	2.089	42	1 1 2
48.49	1.877	31	2 1 2
39.11	2.303	29	3 0 1
42.66	2.119	27	0 0 3
49.16	1.853	20	4 0 0
44.46	2.038	18	1 0 3
35.33	2.540	16	1 1 1
78.34	1.221	16	0 2 3
62.14	1.494	15	0 2 0

Cell: 7.4137 2.9875 6.3576 Å, 90.00 90.00 90.00°
Fractional positions:
1 Mn 0.0000 0.0000 0.0000
2 Mn 0.0470 0.5000 0.3112
3 Mn 0.2500 0.5000 0.9523
4 Mn 0.4530 0.5000 0.3112
5 Mn 0.5000 0.0000 0.0000
6 Mn 0.5470 0.5000 0.6888
7 Mn 0.7500 0.5000 0.0477
8 Mn 0.9530 0.5000 0.6888
9 Be 0.2500 0.0000 0.2162
10 Be 0.7500 0.0000 0.7838
11 Nb 0.2500 0.0000 0.6097
12 Nb 0.7500 0.0000 0.3903

---

For MnBe2Ni, a DFT-relaxed cell (GGA-PBE, Alexandria) gives the simulated XRD peak list in this record (Cu Kα, 1.54184 Å).

Peak list (10 most intense, 15 to 90 degrees two-theta, in order of falling intensity)
2θ/deg	d [Å]	Rel. int.	(hkl)
28.62	3.119	100	1 0 1
47.54	1.913	69	1 1 2
47.74	1.905	34	2 0 0
56.61	1.626	27	2 1 1
88.85	1.101	21	3 1 2
56.25	1.635	14	1 0 3
88.39	1.106	10	2 0 4
69.82	1.347	10	2 2 0
76.81	1.241	10	2 1 3
69.17	1.358	5	0 0 4

Cell: 3.8101 3.8101 5.4324 Å, 90.00 90.00 90.00°
Fractional positions:
1 Mn 0.0000 0.0000 0.0000
2 Mn 0.5000 0.5000 0.5000
3 Be 0.0000 0.0000 0.5000
4 Be 0.0000 0.5000 0.2500
5 Be 0.5000 0.0000 0.7500
6 Be 0.5000 0.5000 0.0000
7 Ni 0.0000 0.5000 0.7500
8 Ni 0.5000 0.0000 0.2500

---

Question: What is the formula in the first record?
Answer: NaMnBeTe3